(1)
Structure and theoretical powder X-ray diffraction pattern of Li2Cr2O7 (DFT lattice parameters and positions (GGA+U); Cu Kα, 1.54184 Å).

Crystal structure
Lattice parameters (Å, degrees): 8.006 8.006 5.931 100.78 100.78 56.77
Atoms (fractional coordinates):
Li: 0.104 0.243 0.393
Li: 0.243 0.104 0.893
Li: 0.757 0.896 0.107
Li: 0.896 0.757 0.607
Cr: 0.196 0.575 0.122
Cr: 0.425 0.804 0.378
Cr: 0.575 0.196 0.622
Cr: 0.804 0.425 0.878
O: 0.026 0.677 0.307
O: 0.090 0.699 0.894
O: 0.277 0.339 0.052
O: 0.301 0.910 0.606
O: 0.323 0.974 0.193
O: 0.339 0.277 0.552
O: 0.404 0.596 0.250
O: 0.596 0.404 0.750
O: 0.661 0.723 0.448
O: 0.677 0.026 0.807
O: 0.699 0.090 0.394
O: 0.723 0.661 0.948
O: 0.910 0.301 0.106
O: 0.974 0.323 0.693

The 12 most intense peaks (2θ from 10° to 90°), by angle:
2θ/deg  Rel. int.
13.3  179
19.2  1000
23.4  138
25.9  345
28.0  107
29.5  172
29.7  347
30.8  109
35.0  187
35.2  208
49.1  126
53.7  79

=====

(2)
Structure and theoretical powder X-ray diffraction pattern of Li4Cr5O10 (DFT lattice parameters and positions (GGA+U); Cu Kα, 1.54184 Å).

Crystal structure
Lattice parameters (Å, degrees): 6.641 6.647 8.918 85.34 81.19 72.04
Atoms (fractional coordinates):
Li: 0.041 0.111 0.347
Li: 0.147 0.308 0.048
Li: 0.356 0.691 0.456
Li: 0.455 0.893 0.152
Li: 0.545 0.107 0.848
Li: 0.644 0.309 0.544
Li: 0.853 0.692 0.952
Li: 0.959 0.889 0.653
Cr: 0.000 0.500 0.500
Cr: 0.096 0.698 0.201
Cr: 0.199 0.894 0.899
Cr: 0.302 0.104 0.600
Cr: 0.405 0.302 0.298
Cr: 0.500 0.500 0.000
Cr: 0.595 0.698 0.702
Cr: 0.698 0.896 0.400
Cr: 0.801 0.106 0.101
Cr: 0.904 0.302 0.799
O: 0.017 0.787 0.416
O: 0.090 0.416 0.279
O: 0.116 0.984 0.121
O: 0.177 0.611 0.992
O: 0.205 0.185 0.820
O: 0.283 0.820 0.680
O: 0.317 0.389 0.511
O: 0.384 0.012 0.380
O: 0.398 0.600 0.217
O: 0.486 0.210 0.079
O: 0.514 0.790 0.921
O: 0.602 0.400 0.783
O: 0.616 0.988 0.620
O: 0.683 0.611 0.489
O: 0.717 0.180 0.320
O: 0.795 0.815 0.180
O: 0.823 0.389 0.008
O: 0.884 0.016 0.879
O: 0.910 0.584 0.721
O: 0.983 0.213 0.584

The 12 most intense peaks (2θ from 10° to 90°), by angle:
2θ/deg  Rel. int.
18.2  1000
35.5  247
35.6  122
43.1  474
43.2  234
47.1  106
56.8  94
62.4  179
62.7  64
62.8  64
62.9  63
65.9  66